This entry pairs a crystal structure of SmEr2Ag2 with its computed powder XRD pattern. Radiation: Cu Ka. Structure: a structure optimized by DFT (PBE).
No peak broadening, texture or thermal motion is included.

Cell and atoms:
```
data_SmEr2Ag2
_symmetry_space_group_name_H-M 'P 1 21/m 1'
_symmetry_Int_Tables_number 11
_cell_length_a 3.6272
_cell_length_b 5.2871
_cell_length_c 13.5251
_cell_angle_alpha 90.00
_cell_angle_beta 97.68
_cell_angle_gamma 90.00
loop_
_symmetry_equiv_pos_as_xyz
'x,y,z'
'-x,-y,-z'
'-x,y+1/2,-z'
'x,-y+1/2,z'
loop_
_atom_site_label
_atom_site_type_symbol
_atom_site_fract_x
_atom_site_fract_y
_atom_site_fract_z
_atom_site_occupancy
Sm1 Sm 0.1459 0.2500 0.2908 1
Er1 Er 0.0474 0.7500 0.0951 1
Er2 Er 0.2351 0.7500 0.4694 1
Ag1 Ag 0.3570 0.2500 0.7152 1
Ag2 Ag 0.4555 0.7500 0.9109 1
```

Peak list (8 most intense, 15 to 90 degrees two-theta, sorted by position)
| hkl | Position (°2θ) | I (rel.) |
| --- | --- | --- |
| 0 0 5 | 33.43 | 21.5 |
| 0 2 0 | 33.91 | 27.8 |
| 1 1 2 | 34.33 | 100.0 |
| 0 2 5 | 48.36 | 15.1 |
| 2 0 -1 | 50.31 | 9.0 |
| 1 1 7 | 60.33 | 10.4 |
| 1 3 2 | 60.95 | 18.7 |
| 2 2 -1 | 62.06 | 9.5 |